# 1
# Cs3Pu6F20
Computed powder X-ray diffraction pattern, Cu Kα, 1.54184 Å. Input: a crystal structure in Alexandria, relaxed with PBE.

The 12 most intense peaks (2θ from 15° to 90°), low angle first:
| Position (°2θ) | I (rel.) | h k l |
| --- | --- | --- |
| 24.66 | 100 | 2 2 2 |
| 28.54 | 64 | 4 0 0 |
| 31.17 | 9 | 3 3 1 |
| 37.36 | 11 | 3 3 3 |
| 40.81 | 62 | 4 4 0 |
| 48.26 | 54 | 6 2 2 |
| 50.55 | 19 | 4 4 4 |
| 59.08 | 10 | 8 0 0 |
| 65.00 | 18 | 6 6 2 |
| 66.91 | 20 | 8 4 0 |
| 74.30 | 19 | 8 4 4 |
| 79.66 | 11 | 10 2 2 |

Cell: 12.5084 12.5084 12.5084 Å, 90.00 90.00 90.00°
Space group Fm-3m (No. 225)
One atom of each set of equivalent atoms:
Cs (0.0000, 0.0000, 0.0000)
Cs (0.2500, 0.2500, 0.2500)
Pu (0.0000, 0.0000, 0.2666)
F (0.0000, 0.1646, 0.1646)
F (0.1089, 0.1089, 0.3911)

***

# 2
# Cs4PuF7
Computed powder X-ray diffraction pattern, Cu Kα, 1.54184 Å. Input: a crystal structure in Alexandria, relaxed with PBE.

The 12 most intense peaks (2θ from 15° to 90°), low angle first:
| Position (°2θ) | I (rel.) | h k l |
| --- | --- | --- |
| 23.06 | 41 | 3 1 0 |
| 24.56 | 37 | 4 0 1 |
| 24.72 | 100 | 6 0 -1 |
| 25.78 | 32 | 2 0 -2 |
| 34.94 | 21 | 5 1 -2 |
| 35.51 | 20 | 7 1 0 |
| 39.10 | 19 | 0 2 0 |
| 44.23 | 14 | 5 1 2 |
| 44.58 | 14 | 2 0 3 |
| 44.93 | 12 | 8 0 -3 |
| 46.73 | 13 | 4 2 1 |
| 47.44 | 13 | 2 2 -2 |

Cell: 22.2127 4.6065 6.9122 Å, 90.00 107.63 90.00°
Space group C2/m (No. 12)
One atom of each set of equivalent atoms:
Cs (0.0912, 0.0000, 0.0464)
Cs (0.2016, 0.0000, 0.6752)
Pu (0.0000, 0.5000, 0.5000)
F (0.0000, 0.0000, 0.5000)
F (0.0483, 0.5000, 0.2547)
F (0.0970, 0.5000, 0.7441)
F (0.2181, 0.0000, 0.2651)